(1)
The following is a calculated PXRD pattern of PmNi2H6. It was derived from a structure optimized by DFT (GGA-PBE), using Cu Kα (weighted mean of Kα1 and Kα2).
Peak positions follow from Bragg's law for the DFT cell and can differ from measured ones.

Largest 11 diffraction maxima, by angle, 5 to 70 degrees two-theta:
2θ 23.35, intensity 14
2θ 31.85, intensity 100
2θ 41.04, intensity 42
2θ 43.51, intensity 11
2θ 47.75, intensity 3
2θ 49.96, intensity 5
2θ 52.87, intensity 23
2θ 61.35, intensity 25
2θ 64.75, intensity 2
2θ 66.57, intensity 2
2θ 69.03, intensity 21

Structure:
Cell: 4.399 4.399 4.160 Å, 90.00 90.00 120.00°
Fractional positions:
Pm 0.000 0.000 0.000
Ni 0.333 0.667 0.500
Ni 0.667 0.333 0.500
H 0.000 0.500 0.251
H 0.000 0.500 0.749
H 0.500 0.000 0.251
H 0.500 0.000 0.749
H 0.500 0.500 0.251
H 0.500 0.500 0.749



(2)
The following is a calculated PXRD pattern of CsPrCl3. It was derived from a structure optimized by DFT (GGA-PBE), using Cu Kα (weighted mean of Kα1 and Kα2).
Peak positions follow from Bragg's law for the DFT cell and can differ from measured ones.

Largest 12 diffraction maxima, by angle, 5 to 70 degrees two-theta:
2θ 15.90, intensity 5
2θ 22.55, intensity 100
2θ 27.71, intensity 7
2θ 32.11, intensity 53
2θ 39.60, intensity 48
2θ 46.05, intensity 37
2θ 51.77, intensity 7
2θ 51.90, intensity 15
2θ 57.24, intensity 12
2θ 62.29, intensity 18
2θ 62.36, intensity 8
2θ 67.23, intensity 4

Structure:
Cell: 7.877 7.877 5.586 Å, 90.00 90.00 90.00°
Fractional positions:
Cs 0.000 0.500 0.000
Cs 0.500 0.000 0.000
Pr 0.000 0.000 0.500
Pr 0.500 0.500 0.500
Cl 0.000 0.000 0.000
Cl 0.232 0.268 0.500
Cl 0.268 0.768 0.500
Cl 0.500 0.500 0.000
Cl 0.732 0.232 0.500
Cl 0.768 0.732 0.500



(3)
The following is a calculated PXRD pattern of Pr2Re2B5Os. It was derived from a structure optimized by DFT (GGA-PBE), using Cu Kα (weighted mean of Kα1 and Kα2).
Peak positions follow from Bragg's law for the DFT cell and can differ from measured ones.

Largest 12 diffraction maxima, by angle, 5 to 70 degrees two-theta:
2θ 16.46, intensity 19
2θ 24.21, intensity 16
2θ 24.53, intensity 16
2θ 30.54, intensity 100
2θ 32.51, intensity 59
2θ 33.64, intensity 28
2θ 34.37, intensity 68
2θ 35.01, intensity 36
2θ 40.77, intensity 21
2θ 42.77, intensity 24
2θ 46.80, intensity 16
2θ 54.29, intensity 20

Structure:
Cell: 5.769 5.769 8.302 Å, 123.70 123.70 41.17°
Fractional positions:
Pr 0.165 0.165 0.265
Pr 0.835 0.835 0.735
Re 0.387 0.348 0.098
Re 0.652 0.613 0.902
B 0.156 0.133 0.807
B 0.264 0.697 0.384
B 0.303 0.736 0.616
B 0.500 0.500 0.000
B 0.867 0.844 0.193
Os 0.790 0.210 0.500



(4)
The following is a calculated PXRD pattern of YErAg3. It was derived from a structure optimized by DFT (GGA-PBE), using Cu Kα (weighted mean of Kα1 and Kα2).
Peak positions follow from Bragg's law for the DFT cell and can differ from measured ones.

Largest 12 diffraction maxima, by angle, 5 to 70 degrees two-theta:
2θ 19.78, intensity 12
2θ 23.15, intensity 13
2θ 32.01, intensity 100
2θ 34.98, intensity 18
2θ 35.34, intensity 22
2θ 39.23, intensity 16
2θ 39.63, intensity 33
2θ 41.13, intensity 14
2θ 42.67, intensity 56
2θ 47.33, intensity 20
2θ 63.39, intensity 16
2θ 67.16, intensity 11

Structure:
Cell: 13.967 13.967 3.842 Å, 90.00 90.00 161.26°
Fractional positions:
Y 0.188 0.812 0.000
Y 0.812 0.188 0.000
Er 0.378 0.622 0.500
Er 0.622 0.378 0.500
Ag 0.051 0.949 0.500
Ag 0.277 0.723 0.500
Ag 0.453 0.547 0.000
Ag 0.547 0.453 0.000
Ag 0.723 0.277 0.500
Ag 0.949 0.051 0.500



What did the third record say?
The following is a calculated PXRD pattern of Pr2Re2B5Os. It was derived from a structure optimized by DFT (GGA-PBE), using Cu Kα (weighted mean of Kα1 and Kα2).
Peak positions follow from Bragg's law for the DFT cell and can differ from measured ones.

Largest 12 diffraction maxima, by angle, 5 to 70 degrees two-theta:
2θ 16.46, intensity 19
2θ 24.21, intensity 16
2θ 24.53, intensity 16
2θ 30.54, intensity 100
2θ 32.51, intensity 59
2θ 33.64, intensity 28
2θ 34.37, intensity 68
2θ 35.01, intensity 36
2θ 40.77, intensity 21
2θ 42.77, intensity 24
2θ 46.80, intensity 16
2θ 54.29, intensity 20

Structure:
Cell: 5.769 5.769 8.302 Å, 123.70 123.70 41.17°
Fractional positions:
Pr 0.165 0.165 0.265
Pr 0.835 0.835 0.735
Re 0.387 0.348 0.098
Re 0.652 0.613 0.902
B 0.156 0.133 0.807
B 0.264 0.697 0.384
B 0.303 0.736 0.616
B 0.500 0.500 0.000
B 0.867 0.844 0.193
Os 0.790 0.210 0.500